# Ce5Ru3Pb2
Calculated X-ray powder pattern, copper Kα. Input: a cell relaxed with GGA-PBE.

The 8 most intense peaks (5° ≤ 2θ ≤ 70°), sorted by position:
| hkl | d/Å | Rel. int. |
| --- | --- | --- |
| 2 0 1 | 3.197 | 100 |
| 1 3 1 | 2.899 | 21 |
| 3 1 1 | 2.496 | 14 |
| 4 0 0 | 2.350 | 25 |
| 2 4 1 | 2.259 | 91 |
| 0 0 2 | 2.184 | 28 |
| 0 4 2 | 1.802 | 14 |
| 4 0 2 | 1.600 | 23 |

Structural model:
```
data_Ce5Ru3Pb2
_symmetry_space_group_name_H-M 'C m m m'
_symmetry_Int_Tables_number 65
_symmetry_space_group_name_Hall '-C 2 2'
_cell_length_a 9.3986
_cell_length_b 12.7673
_cell_length_c 4.3670
_cell_angle_alpha 90.00
_cell_angle_beta 90.00
_cell_angle_gamma 90.00
loop_
_atom_site_label
_atom_site_type_symbol
_atom_site_fract_x
_atom_site_fract_y
_atom_site_fract_z
Ce1 Ce 0.0000 0.0000 0.0000
Ce2 Ce 0.0000 0.2879 0.0000
Ce3 Ce 0.1989 0.5000 0.5000
Ru1 Ru 0.0000 0.1131 0.5000
Ru2 Ru 0.0000 0.5000 0.0000
Pb1 Pb 0.2500 0.2500 0.5000
```